Record 1
Starting from a cell relaxed with GGA-PBE, the powder X-ray diffraction pattern of La2B6C3 was computed for Cu Kα, 1.54184 Å.

Cell and atoms:
Lattice parameters (Å, degrees): 6.626 6.626 2.990 90.00 90.00 120.00
Positions (direct):
La 0.333 0.667 0.000
La 0.667 0.333 0.000
B 0.000 0.248 0.500
B 0.000 0.847 0.000
B 0.153 0.153 0.000
B 0.248 0.000 0.500
B 0.752 0.752 0.500
B 0.847 0.000 0.000
C 0.000 0.744 0.500
C 0.256 0.256 0.500
C 0.744 0.000 0.500

Top 10 peaks for 2θ from 10° to 80°, low angle first:
2θ/deg, intensity
15.44, 45
26.91, 100
29.88, 22
31.17, 24
33.80, 31
40.64, 87
41.64, 23
47.54, 25
57.17, 23
64.28, 20


Record 2
Starting from a cell relaxed with GGA-PBE, the powder X-ray diffraction pattern of Li3Mg2Au3 was computed for Cu Kα, 1.54184 Å.

Cell and atoms:
Lattice parameters (Å, degrees): 7.850 7.850 5.681 90.00 90.00 120.00
Positions (direct):
Li 0.000 0.260 0.250
Li 0.000 0.740 0.750
Li 0.260 0.000 0.250
Li 0.260 0.260 0.750
Li 0.740 0.000 0.750
Li 0.740 0.740 0.250
Mg 0.333 0.667 0.000
Mg 0.333 0.667 0.500
Mg 0.667 0.333 0.000
Mg 0.667 0.333 0.500
Au 0.000 0.388 0.750
Au 0.000 0.612 0.250
Au 0.388 0.000 0.750
Au 0.388 0.388 0.250
Au 0.612 0.000 0.250
Au 0.612 0.612 0.750

Top 10 peaks for 2θ from 10° to 80°, low angle first:
2θ/deg, intensity
13.02, 23
22.65, 21
26.22, 16
27.62, 100
31.49, 19
38.45, 27
39.15, 22
39.78, 21
51.04, 26
53.74, 16


Record 3
Starting from a cell relaxed with GGA-PBE, the powder X-ray diffraction pattern of K4B2S5 was computed for Cu Kα, 1.54184 Å.

Cell and atoms:
Lattice parameters (Å, degrees): 6.488 6.488 8.480 102.43 102.43 69.08
Positions (direct):
K 0.000 0.000 0.000
K 0.354 0.354 0.260
K 0.567 0.567 0.968
K 0.745 0.745 0.585
B 0.093 0.093 0.416
B 0.213 0.213 0.797
S 0.055 0.055 0.627
S 0.064 0.492 0.887
S 0.323 0.889 0.323
S 0.492 0.064 0.887
S 0.889 0.323 0.323

Top 10 peaks for 2θ from 10° to 80°, low angle first:
2θ/deg, intensity
17.77, 39
19.65, 30
24.41, 46
28.15, 69
32.78, 84
33.38, 100
33.59, 29
34.31, 59
41.25, 25
49.54, 25


Record 4
Starting from a cell relaxed with GGA-PBE, the powder X-ray diffraction pattern of Pm5Y4Mg2 was computed for Cu Kα, 1.54184 Å.

Cell and atoms:
Lattice parameters (Å, degrees): 11.402 11.402 8.831 93.81 93.81 17.95
Positions (direct):
Pm 0.000 0.000 0.000
Pm 0.317 0.317 0.526
Pm 0.368 0.368 0.903
Pm 0.632 0.632 0.097
Pm 0.683 0.683 0.474
Y 0.211 0.211 0.821
Y 0.427 0.427 0.284
Y 0.573 0.573 0.716
Y 0.789 0.789 0.179
Mg 0.054 0.054 0.379
Mg 0.946 0.946 0.621

Top 10 peaks for 2θ from 10° to 80°, low angle first:
2θ/deg, intensity
27.76, 59
30.95, 100
32.40, 83
32.80, 92
33.28, 97
34.09, 39
35.03, 75
53.33, 40
61.19, 29
62.07, 48


Record 5
Starting from a cell relaxed with GGA-PBE, the powder X-ray diffraction pattern of RbLiPrBr5 was computed for Cu Kα, 1.54184 Å.

Cell and atoms:
Lattice parameters (Å, degrees): 8.099 8.099 10.944 103.65 103.65 107.30
Positions (direct):
Rb 0.151 0.849 0.750
Rb 0.849 0.151 0.250
Li 0.191 0.809 0.250
Li 0.809 0.191 0.750
Pr 0.500 0.500 0.000
Pr 0.500 0.500 0.500
Br 0.120 0.254 0.924
Br 0.188 0.592 0.387
Br 0.254 0.120 0.424
Br 0.408 0.812 0.113
Br 0.417 0.583 0.750
Br 0.583 0.417 0.250
Br 0.592 0.188 0.887
Br 0.746 0.880 0.576
Br 0.812 0.408 0.613
Br 0.880 0.746 0.076

Top 10 peaks for 2θ from 10° to 80°, low angle first:
2θ/deg, intensity
12.13, 81
17.84, 100
20.17, 36
25.36, 67
25.93, 70
28.78, 47
28.91, 53
31.23, 34
34.65, 36
42.50, 46


Record 6
Starting from a cell relaxed with GGA-PBE, the powder X-ray diffraction pattern of InPdAuO4 was computed for Cu Kα, 1.54184 Å.

Cell and atoms:
Lattice parameters (Å, degrees): 6.464 6.464 6.464 121.38 117.31 91.17
Positions (direct):
In 0.000 0.000 0.000
In 0.500 0.000 0.500
Pd 0.500 0.000 0.000
Pd 0.500 0.500 0.500
Au 0.067 0.317 0.750
Au 0.933 0.683 0.250
O 0.272 0.246 0.473
O 0.272 0.799 0.027
O 0.302 0.250 0.052
O 0.302 0.750 0.552
O 0.698 0.250 0.448
O 0.698 0.750 0.948
O 0.728 0.201 0.973
O 0.728 0.754 0.527

Top 10 peaks for 2θ from 10° to 80°, low angle first:
2θ/deg, intensity
26.51, 13
27.63, 27
28.20, 12
31.71, 32
32.84, 100
33.20, 33
44.62, 13
50.93, 23
57.05, 13
59.87, 16


Record 7
Starting from a cell relaxed with GGA-PBE, the powder X-ray diffraction pattern of TbCe2S5 was computed for Cu Kα, 1.54184 Å.

Cell and atoms:
Lattice parameters (Å, degrees): 11.874 8.095 7.424 90.00 90.00 90.00
Positions (direct):
Tb 0.008 0.250 0.076
Tb 0.492 0.750 0.576
Tb 0.508 0.250 0.424
Tb 0.992 0.750 0.924
Ce 0.180 0.000 0.514
Ce 0.180 0.500 0.514
Ce 0.320 0.000 0.014
Ce 0.320 0.500 0.014
Ce 0.680 0.000 0.986
Ce 0.680 0.500 0.986
Ce 0.820 0.000 0.486
Ce 0.820 0.500 0.486
S 0.003 0.250 0.463
S 0.103 0.540 0.162
S 0.103 0.960 0.162
S 0.187 0.250 0.826
S 0.214 0.750 0.797
S 0.286 0.250 0.297
S 0.313 0.750 0.326
S 0.397 0.040 0.662
S 0.397 0.460 0.662
S 0.497 0.750 0.963
S 0.503 0.250 0.037
S 0.603 0.540 0.338
S 0.603 0.960 0.338
S 0.687 0.250 0.674
S 0.714 0.750 0.703
S 0.786 0.250 0.203
S 0.813 0.750 0.174
S 0.897 0.040 0.838
S 0.897 0.460 0.838
S 0.997 0.750 0.537

Top 10 peaks for 2θ from 10° to 80°, low angle first:
2θ/deg, intensity
23.97, 51
25.50, 100
26.18, 70
26.66, 68
36.15, 81
37.57, 30
44.79, 30
45.96, 51
52.24, 30
52.43, 25